Calculated powder XRD pattern of TbZr4Zn5 for Cu Ka, from DFT lattice parameters and positions (GGA-PBE).

Main lines, by angle (10 to 80 degrees two-theta):
(hkl)  2θ (°)  I (rel.)
0 0 5  26.32  5
1 0 3  30.78  1
1 0 4  33.90  2
1 1 0  37.55  100
1 1 5  46.44  2
2 0 0  54.09  12
0 0 10  54.29  5
2 0 5  61.14  1
2 1 5  67.73  22
1 1 10  67.86  9

Structure:
a = 3.3908 Å, b = 3.3908 Å, c = 16.8968 Å
α = 90.00°, β = 90.00°, γ = 90.00°
Positions (direct):
Tb 0.0000 0.0000 0.0000
Zr 0.0000 0.0000 0.2078
Zr 0.0000 0.0000 0.4024
Zr 0.0000 0.0000 0.5976
Zr 0.0000 0.0000 0.7922
Zn 0.5000 0.5000 0.1138
Zn 0.5000 0.5000 0.3055
Zn 0.5000 0.5000 0.5000
Zn 0.5000 0.5000 0.6945
Zn 0.5000 0.5000 0.8862